Record 1
Calculated powder X-ray diffraction pattern of DySb4Pd15 for Cu Kα X-rays, from DFT lattice parameters and positions (PBE).

The 8 most intense peaks (10 to 90 degrees two-theta), sorted by position:
2θ/deg	I_rel
38.32	100
44.36	33
44.92	16
64.53	11
64.97	20
77.61	25
78.42	11
82.06	10

Cell and atoms:
Cell: 4.085 4.085 20.178 Å, 90.00 90.00 90.00°
Space group P4/mmm (No. 123)
Asymmetric unit:
1 Dy 0.000 0.000 0.000
2 Sb 0.000 0.000 0.200
3 Sb 0.000 0.000 0.400
4 Pd 0.000 0.500 0.104
5 Pd 0.000 0.500 0.302
6 Pd 0.000 0.500 0.500
7 Pd 0.500 0.500 0.000
8 Pd 0.500 0.500 0.204
9 Pd 0.500 0.500 0.401


Record 2
Calculated powder X-ray diffraction pattern of Rb7BiH2Au2 for Cu Kα X-rays, from DFT lattice parameters and positions (PBE).

The 10 most intense peaks (10 to 90 degrees two-theta), sorted by position:
2θ/deg	I_rel
14.60	49
20.56	47
27.13	55
27.44	56
29.35	100
29.45	20
38.97	42
49.34	21
49.71	23
56.70	28

Cell and atoms:
Cell: 6.501 24.263 6.573 Å, 90.00 90.00 90.00°
Space group Imm2 (No. 44)
Asymmetric unit:
1 Rb 0.000 0.000 0.000
2 Rb 0.000 0.097 0.525
3 Rb 0.000 0.224 0.040
4 Rb 0.000 0.402 0.560
5 Bi 0.000 0.500 0.067
6 H 0.000 0.112 0.069
7 Au 0.000 0.248 0.541